Diffraction record for PmHo2RuO8. The powder X-ray diffraction pattern is calculated, not measured: it uses the GGA-PBE geometry in Alexandria and CuKα.
Peak positions follow from Bragg's law for the DFT cell and can differ from measured ones.

Principal peaks in the range 5° ≤ 2θ ≤ 70°, low angle first:
d [Å]	2theta	I_rel	h k l
3.572	24.92	100	1 0 1
2.826	31.66	89	1 2 0
2.526	35.54	25	0 0 2
1.884	48.30	51	1 2 2
1.881	48.39	18	2 2 1
1.539	60.14	17	1 4 1

Atomic structure:
```
data_PmHo2RuO8
_chemical_formula_sum 'Pm1 Ho2 Ru1 O8'
_cell_length_a 5.047
_cell_length_b 6.819
_cell_length_c 5.057
_cell_angle_alpha 90.00
_cell_angle_beta 90.17
_cell_angle_gamma 90.00
_symmetry_space_group_name_H-M 'P 1'
_symmetry_Int_Tables_number 1
loop_
_symmetry_equiv_pos_as_xyz
'x,y,z'
loop_
_atom_site_label
_atom_site_type_symbol
_atom_site_fract_x
_atom_site_fract_y
_atom_site_fract_z
Pm1 Pm 0.000 0.000 0.000
Ho1 Ho 0.500 0.249 0.500
Ho2 Ho 0.500 0.751 0.500
Ru1 Ru 0.000 0.500 0.000
O1 O 0.187 0.295 0.185
O2 O 0.187 0.705 0.185
O3 O 0.266 0.500 0.733
O4 O 0.314 0.000 0.684
O5 O 0.686 0.000 0.316
O6 O 0.734 0.500 0.267
O7 O 0.813 0.295 0.815
O8 O 0.813 0.705 0.815
```